No. 1
Theoretical X-ray diffraction stick pattern of NaCa2Rh for Cu Kα, 1.54184 Å, from a crystal structure in the Materials Project, relaxed with PBE.

Structure:
abc: 5.193 5.193 5.193
angles: 60.00 60.00 60.00
Positions (direct):
Na1 0.000 0.000 0.000
Ca1 0.250 0.250 0.250
Ca2 0.750 0.750 0.750
Rh1 0.500 0.500 0.500

Principal peaks in the range 2θ = 10–90°, low angle first:
- 2θ 21.0, intensity 34
- 2θ 34.5, intensity 100
- 2θ 40.7, intensity 18
- 2θ 49.7, intensity 17
- 2θ 54.5, intensity 8
- 2θ 61.9, intensity 33
- 2θ 66.1, intensity 6
- 2θ 72.9, intensity 10
- 2θ 76.8, intensity 6
- 2θ 83.2, intensity 14

=====

No. 2
Theoretical X-ray diffraction stick pattern of NaNd3PtO7 for Cu Kα, 1.54184 Å, from a crystal structure in the Materials Project, relaxed with PBE.

Structure:
abc: 5.748 5.748 12.062
angles: 103.31 103.31 61.70
Positions (direct):
Na1 0.229 0.771 0.500
Na2 0.771 0.229 0.000
Nd1 0.040 0.553 0.830
Nd2 0.161 0.673 0.199
Nd3 0.413 0.913 0.018
Nd4 0.553 0.040 0.330
Nd5 0.673 0.161 0.699
Nd6 0.913 0.413 0.518
Pt1 0.349 0.853 0.756
Pt2 0.853 0.349 0.256
O1 0.062 0.135 0.856
O2 0.067 0.721 0.666
O3 0.121 0.724 0.013
O4 0.135 0.062 0.356
O5 0.151 0.244 0.158
O6 0.244 0.151 0.658
O7 0.483 0.553 0.853
O8 0.553 0.483 0.353
O9 0.587 0.646 0.164
O10 0.622 0.967 0.858
O11 0.646 0.587 0.664
O12 0.721 0.067 0.166
O13 0.724 0.121 0.513
O14 0.967 0.622 0.358

Principal peaks in the range 2θ = 10–90°, low angle first:
- 2θ 15.2, intensity 27
- 2θ 18.3, intensity 11
- 2θ 20.3, intensity 15
- 2θ 30.3, intensity 36
- 2θ 31.1, intensity 100
- 2θ 31.5, intensity 21
- 2θ 43.8, intensity 10
- 2θ 44.3, intensity 32
- 2θ 54.4, intensity 24
- 2θ 55.9, intensity 17

=====

No. 3
Theoretical X-ray diffraction stick pattern of B9C for Cu Kα, 1.54184 Å, from a crystal structure in the Materials Project, relaxed with PBE.

Structure:
abc: 4.312 4.835 7.374
angles: 85.24 81.96 80.52
Positions (direct):
B1 0.000 0.000 0.000
B2 0.001 0.639 0.321
B3 0.010 0.175 0.776
B4 0.151 0.962 0.206
B5 0.189 0.194 0.435
B6 0.223 0.536 0.491
B7 0.287 0.417 0.713
B8 0.372 0.028 0.863
B9 0.429 0.686 0.299
B10 0.434 0.839 0.508
B11 0.475 0.042 0.286
B12 0.533 0.707 0.752
B13 0.598 0.071 0.037
B14 0.600 0.320 0.836
B15 0.794 0.198 0.190
B16 0.840 0.686 0.009
B17 0.847 0.770 0.577
B18 0.897 0.541 0.801
C1 0.034 0.019 0.592
C2 0.766 0.530 0.203

Principal peaks in the range 2θ = 10–90°, low angle first:
- 2θ 18.6, intensity 40
- 2θ 21.7, intensity 66
- 2θ 23.0, intensity 100
- 2θ 25.7, intensity 57
- 2θ 30.0, intensity 32
- 2θ 30.3, intensity 47
- 2θ 33.5, intensity 60
- 2θ 38.6, intensity 31
- 2θ 40.5, intensity 37
- 2θ 67.5, intensity 42

=====

No. 4
Theoretical X-ray diffraction stick pattern of HoMg2Sc for Cu Kα, 1.54184 Å, from a crystal structure in the Materials Project, relaxed with PBE.

Structure:
abc: 5.218 5.218 5.218
angles: 60.00 60.00 60.00
Positions (direct):
Ho1 0.000 0.000 0.000
Mg1 0.250 0.250 0.250
Mg2 0.750 0.750 0.750
Sc1 0.500 0.500 0.500

Principal peaks in the range 2θ = 10–90°, low angle first:
- 2θ 20.8, intensity 47
- 2θ 24.1, intensity 45
- 2θ 34.4, intensity 100
- 2θ 40.5, intensity 27
- 2θ 42.4, intensity 13
- 2θ 49.4, intensity 18
- 2θ 54.2, intensity 12
- 2θ 55.7, intensity 18
- 2θ 61.6, intensity 36
- 2θ 82.7, intensity 15

=====

No. 5
Theoretical X-ray diffraction stick pattern of Mg7Bi for Cu Kα, 1.54184 Å, from a crystal structure in the Materials Project, relaxed with PBE.

Structure:
abc: 6.399 6.399 5.386
angles: 90.00 90.00 120.00
Positions (direct):
Mg1 0.000 0.000 0.000
Mg2 0.332 0.166 0.500
Mg3 0.502 0.004 0.000
Mg4 0.502 0.498 0.000
Mg5 0.834 0.166 0.500
Mg6 0.834 0.668 0.500
Mg7 0.996 0.498 0.000
Bi1 0.333 0.667 0.500

Principal peaks in the range 2θ = 10–90°, low angle first:
- 2θ 16.0, intensity 95
- 2θ 16.5, intensity 30
- 2θ 23.0, intensity 86
- 2θ 27.9, intensity 27
- 2θ 32.3, intensity 36
- 2θ 32.6, intensity 37
- 2θ 33.3, intensity 27
- 2θ 36.5, intensity 100
- 2θ 37.1, intensity 26
- 2θ 46.5, intensity 27

=====

No. 6
Theoretical X-ray diffraction stick pattern of NdMgCu4 for Cu Kα, 1.54184 Å, from a crystal structure in the Materials Project, relaxed with PBE.

Structure:
abc: 5.161 5.161 5.161
angles: 60.00 60.00 60.00
Positions (direct):
Nd1 0.000 0.000 0.000
Mg1 0.750 0.750 0.750
Cu1 0.377 0.377 0.377
Cu2 0.377 0.377 0.868
Cu3 0.377 0.868 0.377
Cu4 0.868 0.377 0.377

Principal peaks in the range 2θ = 10–90°, low angle first:
- 2θ 21.1, intensity 16
- 2θ 24.4, intensity 21
- 2θ 34.8, intensity 31
- 2θ 41.0, intensity 100
- 2θ 42.9, intensity 36
- 2θ 62.3, intensity 11
- 2θ 66.6, intensity 31
- 2θ 73.4, intensity 22
- 2θ 87.7, intensity 10
- 2θ 89.0, intensity 12